[1]
Starting from a PBE-relaxed structure, the X-ray powder pattern of CeMnPd14 was calculated for λ = 1.5418 Å (Cu Kα).
Peak positions follow from Bragg's law for the DFT cell and can differ from measured ones.

Structure:
```
data_CeMnPd14
_symmetry_space_group_name_H-M 'P 1'
_symmetry_Int_Tables_number 1
_cell_length_a 5.699
_cell_length_b 5.699
_cell_length_c 7.872
_cell_angle_alpha 90.00
_cell_angle_beta 90.00
_cell_angle_gamma 90.00
loop_
_symmetry_equiv_pos_as_xyz
'x,y,z'
loop_
_atom_site_label
_atom_site_type_symbol
_atom_site_fract_x
_atom_site_fract_y
_atom_site_fract_z
_atom_site_occupancy
Ce1 Ce 0.000 0.000 0.000 1
Mn1 Mn 0.500 0.500 0.000 1
Pd1 Pd 0.000 0.000 0.500 1
Pd2 Pd 0.000 0.500 0.000 1
Pd3 Pd 0.000 0.500 0.500 1
Pd4 Pd 0.253 0.253 0.251 1
Pd5 Pd 0.253 0.253 0.749 1
Pd6 Pd 0.253 0.747 0.251 1
Pd7 Pd 0.253 0.747 0.749 1
Pd8 Pd 0.500 0.000 0.000 1
Pd9 Pd 0.500 0.000 0.500 1
Pd10 Pd 0.500 0.500 0.500 1
Pd11 Pd 0.747 0.253 0.251 1
Pd12 Pd 0.747 0.253 0.749 1
Pd13 Pd 0.747 0.747 0.251 1
Pd14 Pd 0.747 0.747 0.749 1
```

Most intense lines, 10° ≤ 2θ ≤ 80°, by intensity:
| d [Å] | 2θ (°) | I_rel |
| --- | --- | --- |
| 2.308 | 39.0 | 100 |
| 2.015 | 45.0 | 33 |
| 1.212 | 79.0 | 24 |
| 1.408 | 66.4 | 20 |
| 1.968 | 46.1 | 15 |
| 1.425 | 65.5 | 10 |
| 4.616 | 19.2 | 1 |
| 3.239 | 27.5 | 1 |

[2]
Starting from a PBE-relaxed structure, the X-ray powder pattern of Ce2Mn3Si4Pd was calculated for λ = 1.5418 Å (Cu Kα).
Peak positions follow from Bragg's law for the DFT cell and can differ from measured ones.

Structure:
```
data_Ce2Mn3Si4Pd
_symmetry_space_group_name_H-M 'P 1'
_symmetry_Int_Tables_number 1
_cell_length_a 4.009
_cell_length_b 4.009
_cell_length_c 10.344
_cell_angle_alpha 90.00
_cell_angle_beta 90.00
_cell_angle_gamma 90.00
loop_
_symmetry_equiv_pos_as_xyz
'x,y,z'
loop_
_atom_site_label
_atom_site_type_symbol
_atom_site_fract_x
_atom_site_fract_y
_atom_site_fract_z
_atom_site_occupancy
Ce1 Ce 0.000 0.500 0.244 1
Ce2 Ce 0.500 0.000 0.756 1
Mn1 Mn 0.000 0.000 0.000 1
Mn2 Mn 0.500 0.500 0.000 1
Mn3 Mn 0.500 0.500 0.500 1
Si1 Si 0.000 0.500 0.639 1
Si2 Si 0.000 0.500 0.873 1
Si3 Si 0.500 0.000 0.127 1
Si4 Si 0.500 0.000 0.361 1
Pd1 Pd 0.000 0.000 0.500 1
```

Most intense lines, 10° ≤ 2θ ≤ 80°, by intensity:
| d [Å] | 2θ (°) | I_rel |
| --- | --- | --- |
| 2.486 | 36.1 | 100 |
| 2.614 | 34.3 | 44 |
| 2.005 | 45.2 | 36 |
| 3.738 | 23.8 | 36 |
| 1.231 | 77.5 | 20 |
| 1.591 | 58.0 | 19 |
| 1.838 | 49.6 | 17 |
| 2.586 | 34.7 | 17 |

[3]
Starting from a PBE-relaxed structure, the X-ray powder pattern of Ce2PmMn was calculated for λ = 1.5418 Å (Cu Kα).
Peak positions follow from Bragg's law for the DFT cell and can differ from measured ones.

Structure:
```
data_Ce2PmMn
_symmetry_space_group_name_H-M 'P 1'
_symmetry_Int_Tables_number 1
_cell_length_a 8.768
_cell_length_b 8.768
_cell_length_c 8.768
_cell_angle_alpha 25.26
_cell_angle_beta 25.26
_cell_angle_gamma 25.26
loop_
_symmetry_equiv_pos_as_xyz
'x,y,z'
loop_
_atom_site_label
_atom_site_type_symbol
_atom_site_fract_x
_atom_site_fract_y
_atom_site_fract_z
_atom_site_occupancy
Ce1 Ce 0.000 0.000 0.000 1
Ce2 Ce 0.226 0.226 0.226 1
Pm1 Pm 0.450 0.450 0.450 1
Mn1 Mn 0.588 0.588 0.588 1
```

Most intense lines, 10° ≤ 2θ ≤ 80°, by intensity:
| d [Å] | 2θ (°) | I_rel |
| --- | --- | --- |
| 2.782 | 32.2 | 100 |
| 2.944 | 30.4 | 86 |
| 1.918 | 47.4 | 58 |
| 1.587 | 58.1 | 48 |
| 2.828 | 31.6 | 45 |
| 2.298 | 39.2 | 32 |
| 3.293 | 27.1 | 28 |
| 1.687 | 54.4 | 25 |